# 1
Ca2Al7: simulated powder diffractogram (Cu Kα), based on DFT lattice parameters and positions (PBE).
Neutral-atom scattering factors, no anomalous dispersion.

Crystal structure
a b c (Å): 13.803 13.803 13.803
angles (deg): 23.51 23.51 23.51
Sites, in units of the cell vectors:
Ca1 0.052 0.052 0.052
Ca2 0.150 0.150 0.150
Ca3 0.850 0.850 0.850
Ca4 0.948 0.948 0.948
Al1 0.000 0.500 0.500
Al2 0.106 0.612 0.612
Al3 0.279 0.279 0.279
Al4 0.388 0.388 0.894
Al5 0.388 0.894 0.388
Al6 0.389 0.389 0.389
Al7 0.500 0.000 0.500
Al8 0.500 0.500 0.000
Al9 0.500 0.500 0.500
Al10 0.611 0.611 0.611
Al11 0.612 0.106 0.612
Al12 0.612 0.612 0.106
Al13 0.721 0.721 0.721
Al14 0.894 0.388 0.388

Principal peaks in the range 2θ = 10–90°, sorted by position:
2theta, d [Å], intensity
28.8, 3.103, 22
30.6, 2.925, 18
31.8, 2.813, 34
37.0, 2.431, 29
37.8, 2.381, 100
40.3, 2.236, 23
41.2, 2.192, 17
60.7, 1.526, 24
66.5, 1.406, 22
80.7, 1.190, 17

=====

# 2
Ac3LaPt4: simulated powder diffractogram (Cu Kα), based on DFT lattice parameters and positions (PBE).
Neutral-atom scattering factors, no anomalous dispersion.

Crystal structure
a b c (Å): 6.166 6.166 6.166
angles (deg): 90.00 90.00 90.00
Sites, in units of the cell vectors:
Ac1 0.000 0.000 0.500
Ac2 0.000 0.500 0.000
Ac3 0.500 0.000 0.000
La1 0.500 0.500 0.500
Pt1 0.000 0.000 0.000
Pt2 0.000 0.500 0.500
Pt3 0.500 0.000 0.500
Pt4 0.500 0.500 0.000

Principal peaks in the range 2θ = 10–90°, sorted by position:
2theta, d [Å], intensity
14.4, 6.166, 1
20.4, 4.360, 1
29.0, 3.083, 100
32.5, 2.758, 1
35.7, 2.517, 1
41.4, 2.180, 77
51.3, 1.780, 28
60.0, 1.542, 13
68.0, 1.379, 37
75.5, 1.259, 27